Starting from a DFT-relaxed cell (GGA-PBE, Alexandria), the PXRD pattern of Tb3Y4Er3 was computed for Cu Kα (λ = 1.5418 Å).

Structure:
Cell: 3.6901 13.1812 13.1957 Å, 90.00 90.00 90.00°
Space group Amm2 (No. 38)
Asymmetric unit:
Tb  0.0000  0.0000  0.0000 x2
Tb  0.0000  0.1723  0.6718 x4
Y  0.5000  0.0000  0.5449 x2
Y  0.5000  0.0000  0.7989 x2
Y  0.5000  0.1266  0.1729 x4
Er  0.0000  0.0000  0.3445 x2
Er  0.5000  0.2485  0.4215 x4

Peak list (10 most intense, 5° ≤ 2θ ≤ 70°, sorted by position)
h k l  Position (°2θ)  d [Å]  Rel. int.
0 4 0  27.04  3.297  21
0 4 2  30.31  2.949  75
1 2 2  30.90  2.894  49
1 1 3  32.40  2.764  100
0 5 3  39.86  2.262  14
1 5 3  47.13  1.928  19
1 6 0  48.19  1.888  19
1 4 6  56.13  1.639  19
1 7 3  58.91  1.568  15
2 4 2  59.06  1.564  22